No. 1
Computed powder diffraction line list
Compound: AlAu2
Radiation: Cu Kα X-rays
Structure: a GGA-PBE-relaxed structure
Lines closer than 0.1° are merged.

Structure:
```
data_AlAu2
_chemical_formula_sum 'Al10 Au20'
_cell_length_a 9.0243
_cell_length_b 17.1592
_cell_length_c 3.2793
_cell_angle_alpha 90.00
_cell_angle_beta 90.00
_cell_angle_gamma 90.00
_symmetry_space_group_name_H-M 'P n n m'
_symmetry_Int_Tables_number 58
loop_
_symmetry_equiv_pos_as_xyz
'x,y,z'
'-x,-y,-z'
'-x,-y,z'
'x,y,-z'
'x+1/2,-y+1/2,-z+1/2'
'-x+1/2,y+1/2,z+1/2'
'-x+1/2,y+1/2,-z+1/2'
'x+1/2,-y+1/2,z+1/2'
loop_
_atom_site_label
_atom_site_fract_x
_atom_site_fract_y
_atom_site_fract_z
_atom_site_occupancy
Al1 0.0000 0.0000 0.0000 1
Al2 0.0228 0.2018 0.0000 1
Al3 0.0303 0.5986 0.0000 1
Au1 0.1338 0.8932 0.5000 1
Au2 0.1378 0.3140 0.5000 1
Au3 0.1549 0.4852 0.5000 1
Au4 0.1694 0.7136 0.5000 1
Au5 0.1745 0.0952 0.5000 1
```

Most intense lines, 2θ from 10° to 90°, by intensity:
(hkl)	Position (°2θ)	intensity
0 5 1	38.0	100
3 0 1	40.7	80
3 5 0	39.9	75
1 0 1	29.0	49
1 5 0	27.8	47
3 5 2	71.0	32
4 5 1	56.3	22
3 10 1	69.2	20
2 0 0	19.7	20
0 0 2	56.1	18



No. 2
Computed powder diffraction line list
Compound: AlAu4
Radiation: Cu Kα X-rays
Structure: a GGA-PBE-relaxed structure
Lines closer than 0.1° are merged.

Structure:
```
data_AlAu4
_chemical_formula_sum 'Al4 Au16'
_cell_length_a 7.0452
_cell_length_b 7.0452
_cell_length_c 7.0452
_cell_angle_alpha 90.00
_cell_angle_beta 90.00
_cell_angle_gamma 90.00
_symmetry_space_group_name_H-M 'P 21 3'
_symmetry_Int_Tables_number 198
_symmetry_space_group_name_Hall 'P 2ac 2ab 3'
loop_
_atom_site_label
_atom_site_fract_x
_atom_site_fract_y
_atom_site_fract_z
_atom_site_occupancy
Al1 0.0636 0.0636 0.0636 1
Au1 0.0509 0.8854 0.7147 1
Au2 0.1822 0.8178 0.3178 1
```

Most intense lines, 2θ from 10° to 90°, by intensity:
(hkl)	Position (°2θ)	intensity
2 2 1	38.3	100
3 0 1	40.5	61
4 3 1	67.8	24
2 0 1	28.3	23
5 0 2	72.2	22
3 1 1	42.6	20
2 1 1	31.1	11
4 1 1	55.3	11
4 2 0	58.6	10
3 3 3	69.3	9



No. 3
Computed powder diffraction line list
Compound: AlAu
Radiation: Cu Kα X-rays
Structure: a GGA-PBE-relaxed structure
Lines closer than 0.1° are merged.

Structure:
```
data_AlAu
_chemical_formula_sum 'Al2 Au2'
_cell_length_a 3.7830
_cell_length_b 3.7830
_cell_length_c 5.3069
_cell_angle_alpha 90.00
_cell_angle_beta 90.00
_cell_angle_gamma 90.00
_symmetry_space_group_name_H-M 'I 4/m m m'
_symmetry_Int_Tables_number 139
_symmetry_space_group_name_Hall '-I 4 2'
loop_
_atom_site_label
_atom_site_fract_x
_atom_site_fract_y
_atom_site_fract_z
_atom_site_occupancy
Al1 0.0000 0.0000 0.0000 1
Au1 0.0000 0.0000 0.5000 1
```

Most intense lines, 2θ from 10° to 90°, by intensity:
(hkl)	Position (°2θ)	intensity
1 0 1	29.0	100
1 1 0	33.5	60
1 1 2	48.3	44
2 1 1	57.1	31
0 0 2	33.8	30
2 0 2	60.1	23
2 0 0	48.1	22
3 1 2	90.0	16
1 0 3	57.5	15
2 1 3	78.2	13



No. 4
Computed powder diffraction line list
Compound: Al7Au6
Radiation: Cu Kα X-rays
Structure: a GGA-PBE-relaxed structure
Lines closer than 0.1° are merged.

Structure:
```
data_Al7Au6
_chemical_formula_sum 'Al21 Au18'
_cell_length_a 5.5217
_cell_length_b 5.5217
_cell_length_c 27.1499
_cell_angle_alpha 90.00
_cell_angle_beta 90.00
_cell_angle_gamma 120.00
_symmetry_space_group_name_H-M 'R -3 m'
_symmetry_Int_Tables_number 166
_symmetry_space_group_name_Hall '-R 3 2"'
loop_
_atom_site_label
_atom_site_fract_x
_atom_site_fract_y
_atom_site_fract_z
_atom_site_occupancy
Al1 0.0000 0.0000 0.0000 1
Al2 0.0042 0.5021 0.5788 1
Au1 0.0000 0.0000 0.1683 1
Au2 0.0000 0.0000 0.3205 1
Au3 0.0000 0.0000 0.4263 1
```

Most intense lines, 2θ from 10° to 90°, by intensity:
(hkl)	Position (°2θ)	intensity
1 1 0	32.4	100
3 0 0	57.8	27
1 1 12	52.3	20
1 0 7	29.7	19
2 0 8	46.5	18
1 1 6	38.2	13
0 2 7	44.5	12
1 0 4	22.7	12
2 2 0	67.9	11
0 0 12	39.8	11



No. 5
Computed powder diffraction line list
Compound: Al7Au
Radiation: Cu Kα X-rays
Structure: a GGA-PBE-relaxed structure
Lines closer than 0.1° are merged.

Structure:
```
data_Al7Au
_chemical_formula_sum 'Al28 Au4'
_cell_length_a 8.0795
_cell_length_b 8.0795
_cell_length_c 8.0795
_cell_angle_alpha 90.00
_cell_angle_beta 90.00
_cell_angle_gamma 90.00
_symmetry_space_group_name_H-M 'F m -3 m'
_symmetry_Int_Tables_number 225
_symmetry_space_group_name_Hall '-F 4 2 3'
loop_
_atom_site_label
_atom_site_fract_x
_atom_site_fract_y
_atom_site_fract_z
_atom_site_occupancy
Al1 0.0000 0.0000 0.0000 1
Al2 0.0000 0.2500 0.2500 1
Au1 0.0000 0.0000 0.5000 1
```

Most intense lines, 2θ from 10° to 90°, by intensity:
(hkl)	Position (°2θ)	intensity
1 1 1	19.0	100
2 2 2	38.6	91
3 1 1	36.9	61
2 0 0	22.0	54
2 2 0	31.3	47
4 0 0	44.9	44
6 2 2	78.5	35
4 4 0	65.3	29
3 3 1	49.2	27
4 2 0	50.5	25



No. 6
Computed powder diffraction line list
Compound: Al8Au
Radiation: Cu Kα X-rays
Structure: a GGA-PBE-relaxed structure
Lines closer than 0.1° are merged.

Structure:
```
data_Al8Au
_chemical_formula_sum 'Al16 Au2'
_cell_length_a 8.6374
_cell_length_b 8.6374
_cell_length_c 3.9761
_cell_angle_alpha 90.00
_cell_angle_beta 90.00
_cell_angle_gamma 90.00
_symmetry_space_group_name_H-M 'I 4/m m m'
_symmetry_Int_Tables_number 139
_symmetry_space_group_name_Hall '-I 4 2'
loop_
_atom_site_label
_atom_site_fract_x
_atom_site_fract_y
_atom_site_fract_z
_atom_site_occupancy
Al1 0.0000 0.3340 0.0000 1
Al2 0.1665 0.1665 0.5000 1
Au1 0.0000 0.0000 0.0000 1
```

Most intense lines, 2θ from 10° to 90°, by intensity:
(hkl)	Position (°2θ)	intensity
3 0 1	38.6	100
1 1 0	14.5	86
2 1 1	32.3	55
1 0 1	24.6	53
2 0 0	20.6	41
3 3 0	44.5	33
3 1 0	32.8	26
6 3 1	78.0	26
3 2 1	44.1	24
3 3 2	65.6	21



No. 7
Computed powder diffraction line list
Compound: AlAu4
Radiation: Cu Kα X-rays
Structure: a GGA-PBE-relaxed structure
Lines closer than 0.1° are merged.

Structure:
```
data_AlAu4
_chemical_formula_sum 'Al2 Au8'
_cell_length_a 5.8922
_cell_length_b 5.8922
_cell_length_c 5.8922
_cell_angle_alpha 90.00
_cell_angle_beta 90.00
_cell_angle_gamma 90.00
_symmetry_space_group_name_H-M 'I m -3 m'
_symmetry_Int_Tables_number 229
_symmetry_space_group_name_Hall '-I 4 2 3'
loop_
_atom_site_label
_atom_site_fract_x
_atom_site_fract_y
_atom_site_fract_z
_atom_site_occupancy
Al1 0.0000 0.0000 0.0000 1
Au1 0.2500 0.2500 0.2500 1
```

Most intense lines, 2θ from 10° to 90°, by intensity:
(hkl)	Position (°2θ)	intensity
2 0 0	30.3	100
2 2 0	43.4	88
4 2 0	71.6	36
4 2 2	79.7	31
2 2 2	53.9	27
4 0 0	63.1	15
1 1 0	21.3	1



No. 8
Computed powder diffraction line list
Compound: AlAu4
Radiation: Cu Kα X-rays
Structure: a GGA-PBE-relaxed structure
Lines closer than 0.1° are merged.

Structure:
```
data_AlAu4
_chemical_formula_sum 'Al2 Au8'
_cell_length_a 4.9366
_cell_length_b 3.2469
_cell_length_c 11.1781
_cell_angle_alpha 90.00
_cell_angle_beta 97.46
_cell_angle_gamma 90.00
_symmetry_space_group_name_H-M 'C 1 2/m 1'
_symmetry_Int_Tables_number 12
loop_
_symmetry_equiv_pos_as_xyz
'x,y,z'
'-x,-y,-z'
'-x,y,-z'
'x,-y,z'
'x+1/2,y+1/2,z'
'-x+1/2,-y+1/2,-z'
'-x+1/2,y+1/2,-z'
'x+1/2,-y+1/2,z'
loop_
_atom_site_label
_atom_site_fract_x
_atom_site_fract_y
_atom_site_fract_z
_atom_site_occupancy
Al1 0.0000 0.0000 0.0000 1
Au1 0.1135 0.5000 0.8216 1
Au2 0.2061 0.0000 0.6061 1
```

Most intense lines, 2θ from 10° to 90°, by intensity:
(hkl)	Position (°2θ)	intensity
1 1 -2	35.9	100
1 1 3	42.8	55
2 0 1	38.7	39
0 0 5	40.7	28
2 0 -4	46.2	24
3 1 -1	63.4	20
0 0 4	32.3	17
1 1 2	38.0	15
0 2 0	56.7	14
2 2 1	70.8	14



Copy entry 4 word for word.
Computed powder diffraction line list
Compound: Al7Au6
Radiation: Cu Kα X-rays
Structure: a GGA-PBE-relaxed structure
Lines closer than 0.1° are merged.

Structure:
```
data_Al7Au6
_chemical_formula_sum 'Al21 Au18'
_cell_length_a 5.5217
_cell_length_b 5.5217
_cell_length_c 27.1499
_cell_angle_alpha 90.00
_cell_angle_beta 90.00
_cell_angle_gamma 120.00
_symmetry_space_group_name_H-M 'R -3 m'
_symmetry_Int_Tables_number 166
_symmetry_space_group_name_Hall '-R 3 2"'
loop_
_atom_site_label
_atom_site_fract_x
_atom_site_fract_y
_atom_site_fract_z
_atom_site_occupancy
Al1 0.0000 0.0000 0.0000 1
Al2 0.0042 0.5021 0.5788 1
Au1 0.0000 0.0000 0.1683 1
Au2 0.0000 0.0000 0.3205 1
Au3 0.0000 0.0000 0.4263 1
```

Most intense lines, 2θ from 10° to 90°, by intensity:
(hkl)	Position (°2θ)	intensity
1 1 0	32.4	100
3 0 0	57.8	27
1 1 12	52.3	20
1 0 7	29.7	19
2 0 8	46.5	18
1 1 6	38.2	13
0 2 7	44.5	12
1 0 4	22.7	12
2 2 0	67.9	11
0 0 12	39.8	11